Mn12O7F17: simulated PXRD pattern (Cu Ka), based on DFT lattice parameters and positions (GGA+U).

Atomic structure:
Cell lengths 5.2526, 5.5575, 15.0834 Å; angles 83.22, 89.66, 89.84 degrees
Fractional positions:
Mn 0.0000 0.0000 0.0000
Mn 0.0014 0.0516 0.6560
Mn 0.0151 0.5139 0.8400
Mn 0.0190 0.5506 0.5022
Mn 0.0652 0.4629 0.1603
Mn 0.3892 0.0109 0.1696
Mn 0.4521 0.4691 0.3317
Mn 0.4695 0.8654 0.4941
Mn 0.4961 0.8516 0.8321
Mn 0.5128 0.3522 0.9889
Mn 0.5206 0.3917 0.6562
Mn 0.9708 0.0287 0.3331
O 0.1966 0.7856 0.4185
O 0.2191 0.2398 0.0779
O 0.2582 0.2447 0.2437
O 0.3215 0.6146 0.5743
O 0.3272 0.5663 0.9047
O 0.8310 0.3096 0.9271
O 0.8371 0.3468 0.5923
F 0.1024 0.7400 0.2404
F 0.1425 0.2985 0.4145
F 0.1673 0.8027 0.7511
F 0.2092 0.3130 0.7377
F 0.3337 0.1091 0.5853
F 0.3368 0.0690 0.9206
F 0.3548 0.7552 0.0916
F 0.5924 0.8273 0.2599
F 0.6285 0.1054 0.4068
F 0.6728 0.0897 0.7356
F 0.7023 0.1489 0.0872
F 0.7040 0.5792 0.7588
F 0.7076 0.6014 0.4250
F 0.7748 0.3369 0.2519
F 0.7981 0.8484 0.5652
F 0.8400 0.8213 0.8986
F 0.8706 0.6614 0.0742

The 10 most intense peaks (10° ≤ 2θ ≤ 90°), low angle first:
22.56°, I = 24.8
25.43°, I = 17.8
28.23°, I = 63.7
28.39°, I = 54.0
30.68°, I = 100.0
36.73°, I = 15.0
42.88°, I = 15.8
50.28°, I = 22.7
50.60°, I = 24.5
62.82°, I = 23.2

NbMoO4: simulated PXRD pattern (Cu Ka), based on DFT lattice parameters and positions (GGA+U).

Atomic structure:
Cell lengths 4.8619, 4.8619, 3.1922 Å; angles 90.00, 90.00, 90.87 degrees
Fractional positions:
Nb 0.0000 0.0000 0.0000
Mo 0.5000 0.5000 0.5000
O 0.1872 0.8128 0.5000
O 0.2916 0.2916 0.0000
O 0.7084 0.7084 0.0000
O 0.8128 0.1872 0.5000

The 10 most intense peaks (10° ≤ 2θ ≤ 90°), low angle first:
25.72°, I = 71.5
26.12°, I = 64.9
33.59°, I = 100.0
36.98°, I = 26.0
50.58°, I = 46.6
51.04°, I = 41.1
52.86°, I = 11.0
53.74°, I = 11.9
64.48°, I = 36.4
88.01°, I = 14.0

Which formula does entry 1 have?
Mn12O7F17